(1)
Computed X-ray diffraction stick pattern of Y2GePIr6 for Cu Kα, 1.54184 Å, from DFT lattice parameters and positions (GGA-PBE).
Peak positions follow from Bragg's law for the DFT cell and can differ from measured ones.

Most intense lines, 2θ = 10–90°, by angle:
2θ (°), I/Imax, (hkl)
11.1, 49, 0 0 1
22.4, 48, 0 0 2
30.6, 55, 0 2 2
39.1, 100, 2 2 0
41.8, 57, 0 4 0
45.5, 58, 2 2 2

Cell and atoms:
```
data_Y2GePIr6
_space_group_name_H-M_alt 'P m m n'
_space_group_IT_number 59
_cell_length_a 5.4479
_cell_length_b 8.6410
_cell_length_c 7.9393
_cell_angle_alpha 90.00
_cell_angle_beta 90.00
_cell_angle_gamma 90.00
loop_
_space_group_symop_operation_xyz
'x,y,z'
'-x,-y,-z'
'-x+1/2,-y+1/2,z'
'x+1/2,y+1/2,-z'
'x+1/2,-y,-z'
'-x+1/2,y,z'
'-x,y+1/2,-z'
'x,-y+1/2,z'
loop_
_atom_site_label
_atom_site_fract_x
_atom_site_fract_y
_atom_site_fract_z
Y1 0.2500 0.0193 0.2171
Ge1 0.2500 0.7500 0.7623
P1 0.2500 0.2500 0.7505
Ir1 0.0104 0.7500 0.0258
Ir2 0.0107 0.7500 0.4780
Ir3 0.2500 0.5016 0.5958
```


(2)
Computed X-ray diffraction stick pattern of EuGaGe for Cu Kα, 1.54184 Å, from DFT lattice parameters and positions (GGA-PBE).
Peak positions follow from Bragg's law for the DFT cell and can differ from measured ones.

Most intense lines, 2θ = 10–90°, by angle:
2θ (°), I/Imax, (hkl)
23.9, 12, 1 0 0
31.5, 100, 1 0 4
42.0, 43, 1 1 0
53.4, 22, 2 0 4
60.2, 19, 1 1 8
70.2, 20, 2 1 4

Cell and atoms:
```
data_EuGaGe
_space_group_name_H-M_alt 'P 63/m m c'
_space_group_IT_number 194
_space_group_name_Hall '-P 6c 2c'
_cell_length_a 4.2990
_cell_length_b 4.2990
_cell_length_c 17.6199
_cell_angle_alpha 90.00
_cell_angle_beta 90.00
_cell_angle_gamma 120.00
loop_
_atom_site_label
_atom_site_fract_x
_atom_site_fract_y
_atom_site_fract_z
Eu1 0.0000 0.0000 0.0000
Eu2 0.0000 0.0000 0.2500
Ga1 0.3333 0.6667 0.1478
Ge1 0.3333 0.6667 0.6120
```


(3)
Computed X-ray diffraction stick pattern of Pm2TiGe5 for Cu Kα, 1.54184 Å, from DFT lattice parameters and positions (GGA-PBE).
Peak positions follow from Bragg's law for the DFT cell and can differ from measured ones.

Most intense lines, 2θ = 10–90°, by angle:
2θ (°), I/Imax, (hkl)
28.4, 44, 1 1 2
35.0, 100, 2 0 2
40.3, 24, 0 0 4
40.9, 41, 2 2 0
58.7, 26, 2 2 4
70.6, 17, 4 2 2

Cell and atoms:
```
data_Pm2TiGe5
_space_group_name_H-M_alt 'I 4 m m'
_space_group_IT_number 107
_space_group_name_Hall 'I 4 -2'
_cell_length_a 6.2467
_cell_length_b 6.2467
_cell_length_c 8.9614
_cell_angle_alpha 90.00
_cell_angle_beta 90.00
_cell_angle_gamma 90.00
loop_
_atom_site_label
_atom_site_fract_x
_atom_site_fract_y
_atom_site_fract_z
Pm1 0.0000 0.5000 0.0000
Ti1 0.0000 0.0000 0.2566
Ge1 0.0000 0.0000 0.5354
Ge2 0.2111 0.2111 0.7536
```